# MgFe2O5
Simulated powder diffraction line list, Cu Kα (weighted mean of Kα1 and Kα2). Input: a crystal structure in the Materials Project, relaxed with PBE+U.
No peak broadening, texture or thermal motion is included.

Structure:
```
data_MgFe2O5
_space_group_name_H-M_alt 'C 1 c 1'
_space_group_IT_number 9
_space_group_name_Hall 'C -2yc'
_cell_length_a 9.8811
_cell_length_b 5.1983
_cell_length_c 7.1826
_cell_angle_alpha 90.00
_cell_angle_beta 110.80
_cell_angle_gamma 90.00
loop_
_atom_site_label
_atom_site_type_symbol
_atom_site_fract_x
_atom_site_fract_y
_atom_site_fract_z
Mg1 Mg 0.0000 0.0032 0.0000
Fe1 Fe 0.1305 0.4989 0.2109
Fe2 Fe 0.3757 0.0029 0.7846
O1 O 0.0782 0.3512 0.9354
O2 O 0.1993 0.1655 0.6650
O3 O 0.3063 0.3196 0.3291
O4 O 0.4168 0.1516 0.0546
O5 O 0.4976 0.2840 0.7507
```

Principal peaks in the range 2θ = 10–90°, in order of rising 2θ:
(hkl)  2θ/deg  I (rel.)
1 1 0  19.60  100
0 0 2  26.55  44
2 0 -2  26.71  44
1 1 -2  30.25  30
3 1 0  33.84  59
1 1 2  35.96  48
3 1 -2  36.21  30
4 2 -2  52.80  40
3 1 -4  55.10  39
1 3 2  62.77  32